# ZnNi6Rh
Computed powder diffraction line list, λ = 1.5418 Å (Cu Kα). Input: the GGA-PBE geometry in Alexandria.
No peak broadening, texture or thermal motion is included.

Largest 10 diffraction maxima, in order of falling intensity, 2θ = 10–80°:
43.55 deg, rel. 100; 50.64 deg, rel. 31; 74.63 deg, rel. 18; 50.88 deg, rel. 15; 74.44 deg, rel. 9; 12.33 deg, rel. 2; 35.26 deg, rel. 2; 24.70 deg, rel. 2; 27.69 deg, rel. 1; 24.81 deg, rel. 1

Structure:
Unit cell a=3.6049 b=3.6049 c=7.1779 alpha=90.00 beta=90.00 gamma=90.00
Positions (direct):
Zn 0.0000 0.0000 0.0000
Ni 0.0000 0.5000 0.2485
Ni 0.0000 0.5000 0.7515
Ni 0.5000 0.0000 0.2485
Ni 0.5000 0.0000 0.7515
Ni 0.5000 0.5000 0.0000
Ni 0.5000 0.5000 0.5000
Rh 0.0000 0.0000 0.5000



# Zn5NiRh4
Computed powder diffraction line list, λ = 1.5418 Å (Cu Kα). Input: the GGA-PBE geometry in Alexandria.
No peak broadening, texture or thermal motion is included.

Largest 10 diffraction maxima, in order of falling intensity, 2θ = 10–80°:
42.68 deg, rel. 100; 42.39 deg, rel. 52; 77.74 deg, rel. 32; 61.50 deg, rel. 17; 78.33 deg, rel. 14; 62.38 deg, rel. 7; 29.62 deg, rel. 3; 38.42 deg, rel. 3; 30.01 deg, rel. 2; 72.29 deg, rel. 1

Structure:
Unit cell a=3.0157 b=3.0157 c=14.8861 alpha=90.00 beta=90.00 gamma=90.00
Positions (direct):
Zn 0.0000 0.0000 0.0000
Zn 0.0000 0.0000 0.2044
Zn 0.0000 0.0000 0.4071
Zn 0.0000 0.0000 0.5929
Zn 0.0000 0.0000 0.7956
Ni 0.5000 0.5000 0.5000
Rh 0.5000 0.5000 0.1020
Rh 0.5000 0.5000 0.3074
Rh 0.5000 0.5000 0.6926
Rh 0.5000 0.5000 0.8980



# ZnNi6Rh
Computed powder diffraction line list, λ = 1.5418 Å (Cu Kα). Input: the GGA-PBE geometry in Alexandria.
No peak broadening, texture or thermal motion is included.

Largest 10 diffraction maxima, in order of falling intensity, 2θ = 10–80°:
43.51 deg, rel. 100; 50.53 deg, rel. 31; 74.62 deg, rel. 18; 50.99 deg, rel. 15; 74.35 deg, rel. 5; 74.14 deg, rel. 5; 23.10 deg, rel. 2; 30.46 deg, rel. 2; 39.47 deg, rel. 1; 24.85 deg, rel. 1

Structure:
Unit cell a=6.2451 b=5.7165 c=4.3982 alpha=74.99 beta=62.15 gamma=42.86
Positions (direct):
Zn 0.0000 0.0000 0.0000
Ni 0.1305 0.1305 0.3695
Ni 0.2513 0.2513 0.7487
Ni 0.3695 0.3695 0.1305
Ni 0.6305 0.6305 0.8695
Ni 0.7487 0.7487 0.2513
Ni 0.8695 0.8695 0.6305
Rh 0.5000 0.5000 0.5000



# Zn5NiRh
Computed powder diffraction line list, λ = 1.5418 Å (Cu Kα). Input: the GGA-PBE geometry in Alexandria.
No peak broadening, texture or thermal motion is included.

Largest 10 diffraction maxima, in order of falling intensity, 2θ = 10–80°:
42.60 deg, rel. 100; 42.11 deg, rel. 57; 37.21 deg, rel. 55; 47.15 deg, rel. 38; 49.41 deg, rel. 33; 41.26 deg, rel. 27; 33.75 deg, rel. 26; 28.57 deg, rel. 15; 45.57 deg, rel. 15; 55.41 deg, rel. 13

Structure:
Unit cell a=5.6321 b=5.6321 c=6.9156 alpha=106.20 beta=106.20 gamma=81.11
Positions (direct):
Zn 0.0542 0.9458 0.7500
Zn 0.1190 0.3085 0.0750
Zn 0.3085 0.1190 0.5750
Zn 0.3080 0.5278 0.8696
Zn 0.4722 0.6920 0.6304
Zn 0.5278 0.3080 0.3696
Zn 0.6920 0.4722 0.1304
Zn 0.6915 0.8810 0.4250
Zn 0.8810 0.6915 0.9250
Zn 0.9458 0.0542 0.2500
Ni 0.2877 0.7123 0.2500
Ni 0.7123 0.2877 0.7500
Rh 0.0000 0.5000 0.5000
Rh 0.5000 0.0000 0.0000



# Zr2NiRh4
Computed powder diffraction line list, λ = 1.5418 Å (Cu Kα). Input: the GGA-PBE geometry in Alexandria.
No peak broadening, texture or thermal motion is included.

Largest 10 diffraction maxima, in order of falling intensity, 2θ = 10–80°:
40.13 deg, rel. 100; 49.05 deg, rel. 52; 35.72 deg, rel. 52; 10.19 deg, rel. 44; 43.90 deg, rel. 38; 41.62 deg, rel. 21; 34.14 deg, rel. 21; 66.24 deg, rel. 21; 35.39 deg, rel. 20; 67.92 deg, rel. 20

Structure:
Unit cell a=9.0681 b=9.0681 c=9.0681 alpha=156.36 beta=156.36 gamma=33.67
Positions (direct):
Zr 0.0985 0.0985 0.0000
Zr 0.9015 0.9015 0.0000
Ni 0.5000 0.5000 0.0000
Rh 0.2500 0.7500 0.5000
Rh 0.3603 0.3603 0.0000
Rh 0.6397 0.6397 0.0000
Rh 0.7500 0.2500 0.5000



# ZrNi2Rh3
Computed powder diffraction line list, λ = 1.5418 Å (Cu Kα). Input: the GGA-PBE geometry in Alexandria.
No peak broadening, texture or thermal motion is included.

Largest 10 diffraction maxima, in order of falling intensity, 2θ = 10–80°:
42.04 deg, rel. 100; 44.38 deg, rel. 67; 41.57 deg, rel. 45; 38.74 deg, rel. 40; 67.83 deg, rel. 31; 37.87 deg, rel. 23; 74.53 deg, rel. 22; 53.60 deg, rel. 16; 50.20 deg, rel. 14; 65.40 deg, rel. 9

Structure:
Unit cell a=7.2564 b=7.2564 c=7.2564 alpha=44.77 beta=44.77 gamma=44.77
Positions (direct):
Zr 0.2187 0.2187 0.2187
Zr 0.7813 0.7813 0.7813
Ni 0.0000 0.0000 0.0000
Ni 0.0000 0.5000 0.5000
Ni 0.5000 0.0000 0.5000
Ni 0.5000 0.5000 0.0000
Rh 0.2327 0.7250 0.7250
Rh 0.2750 0.2750 0.7673
Rh 0.2750 0.7673 0.2750
Rh 0.7250 0.2327 0.7250
Rh 0.7250 0.7250 0.2327
Rh 0.7673 0.2750 0.2750



# ZrNiRh4
Computed powder diffraction line list, λ = 1.5418 Å (Cu Kα). Input: the GGA-PBE geometry in Alexandria.
No peak broadening, texture or thermal motion is included.

Largest 10 diffraction maxima, in order of falling intensity, 2θ = 10–80°:
41.32 deg, rel. 100; 43.25 deg, rel. 50; 67.11 deg, rel. 30; 73.99 deg, rel. 27; 35.02 deg, rel. 19; 21.24 deg, rel. 19; 50.37 deg, rel. 9; 62.82 deg, rel. 7; 55.25 deg, rel. 4; 78.00 deg, rel. 3

Structure:
Unit cell a=5.1243 b=5.1243 c=5.1243 alpha=60.00 beta=60.00 gamma=60.00
Positions (direct):
Zr 0.0000 0.0000 0.0000
Ni 0.7500 0.7500 0.7500
Rh 0.3756 0.3756 0.3756
Rh 0.3756 0.3756 0.8733
Rh 0.3756 0.8733 0.3756
Rh 0.8733 0.3756 0.3756



# ZrNi4Rh
Computed powder diffraction line list, λ = 1.5418 Å (Cu Kα). Input: the GGA-PBE geometry in Alexandria.
No peak broadening, texture or thermal motion is included.

Largest 7 diffraction maxima, in order of falling intensity, 2θ = 10–80°:
44.35 deg, rel. 100; 37.55 deg, rel. 44; 72.51 deg, rel. 29; 46.44 deg, rel. 27; 67.77 deg, rel. 15; 22.74 deg, rel. 1; 54.16 deg, rel. 1

Structure:
Unit cell a=4.7899 b=4.7899 c=4.7899 alpha=60.00 beta=60.00 gamma=60.00
Positions (direct):
Zr 0.0000 0.0000 0.0000
Ni 0.1280 0.6240 0.6240
Ni 0.6240 0.1280 0.6240
Ni 0.6240 0.6240 0.1280
Ni 0.6240 0.6240 0.6240
Rh 0.2500 0.2500 0.2500



# Ni4Ru
Computed powder diffraction line list, λ = 1.5418 Å (Cu Kα). Input: the GGA-PBE geometry in Alexandria.
No peak broadening, texture or thermal motion is included.

Largest 10 diffraction maxima, in order of falling intensity, 2θ = 10–80°:
43.29 deg, rel. 100; 50.66 deg, rel. 61; 44.11 deg, rel. 31; 73.88 deg, rel. 19; 75.06 deg, rel. 17; 17.28 deg, rel. 4; 34.96 deg, rel. 2; 45.75 deg, rel. 2; 26.04 deg, rel. 2; 41.05 deg, rel. 2

Structure:
Unit cell a=10.3713 b=10.3713 c=10.3713 alpha=14.21 beta=14.21 gamma=14.21
Positions (direct):
Ni 0.0977 0.0977 0.0977
Ni 0.3010 0.3010 0.3010
Ni 0.6990 0.6990 0.6990
Ni 0.9023 0.9023 0.9023
Ru 0.5000 0.5000 0.5000



# Ni5Ru
Computed powder diffraction line list, λ = 1.5418 Å (Cu Kα). Input: the GGA-PBE geometry in Alexandria.
No peak broadening, texture or thermal motion is included.

Largest 10 diffraction maxima, in order of falling intensity, 2θ = 10–80°:
43.77 deg, rel. 100; 50.88 deg, rel. 31; 75.09 deg, rel. 18; 51.21 deg, rel. 15; 74.70 deg, rel. 5; 74.95 deg, rel. 5; 27.62 deg, rel. 1; 21.03 deg, rel. 1; 23.40 deg, rel. 1; 32.85 deg, rel. 1

Structure:
Unit cell a=3.5679 b=7.6029 c=5.0826 alpha=90.00 beta=90.00 gamma=90.00
Positions (direct):
Ni 0.2500 0.0828 0.1260
Ni 0.2500 0.0843 0.6204
Ni 0.2500 0.4157 0.6204
Ni 0.2500 0.4172 0.1260
Ni 0.2500 0.7500 0.6278
Ni 0.7500 0.2500 0.3722
Ni 0.7500 0.5828 0.8740
Ni 0.7500 0.5843 0.3796
Ni 0.7500 0.9157 0.3796
Ni 0.7500 0.9172 0.8740
Ru 0.2500 0.7500 0.1282
Ru 0.7500 0.2500 0.8718



# NiRu
Computed powder diffraction line list, λ = 1.5418 Å (Cu Kα). Input: the GGA-PBE geometry in Alexandria.
No peak broadening, texture or thermal motion is included.

Largest 10 diffraction maxima, in order of falling intensity, 2θ = 10–80°:
42.51 deg, rel. 100; 49.26 deg, rel. 32; 72.79 deg, rel. 19; 49.96 deg, rel. 15; 72.23 deg, rel. 10; 24.38 deg, rel. 6; 34.28 deg, rel. 5; 55.71 deg, rel. 2; 61.99 deg, rel. 2; 77.53 deg, rel. 1

Structure:
Unit cell a=2.6158 b=2.6158 c=3.6513 alpha=90.00 beta=90.00 gamma=90.00
Positions (direct):
Ni 0.0000 0.0000 0.0000
Ru 0.5000 0.5000 0.5000



# Ni5Ru
Computed powder diffraction line list, λ = 1.5418 Å (Cu Kα). Input: the GGA-PBE geometry in Alexandria.
No peak broadening, texture or thermal motion is included.

Largest 10 diffraction maxima, in order of falling intensity, 2θ = 10–80°:
46.70 deg, rel. 100; 46.95 deg, rel. 46; 43.87 deg, rel. 39; 40.92 deg, rel. 23; 74.90 deg, rel. 14; 41.20 deg, rel. 14; 61.54 deg, rel. 13; 74.34 deg, rel. 7; 61.70 deg, rel. 4; 61.80 deg, rel. 4

Structure:
Unit cell a=4.8468 b=4.8468 c=6.0154 alpha=104.74 beta=104.74 gamma=30.53
Positions (direct):
Ni 0.0000 0.0000 0.0000
Ni 0.0539 0.0539 0.6022
Ni 0.3347 0.3347 0.6595
Ni 0.3893 0.3893 0.2765
Ni 0.6678 0.6678 0.3343
Ru 0.7209 0.7209 0.9380



# NiRu
Computed powder diffraction line list, λ = 1.5418 Å (Cu Kα). Input: the GGA-PBE geometry in Alexandria.
No peak broadening, texture or thermal motion is included.

Largest 10 diffraction maxima, in order of falling intensity, 2θ = 10–80°:
45.61 deg, rel. 100; 45.24 deg, rel. 58; 43.00 deg, rel. 42; 39.94 deg, rel. 29; 60.13 deg, rel. 17; 71.98 deg, rel. 16; 39.52 deg, rel. 10; 72.81 deg, rel. 8; 31.29 deg, rel. 7; 59.82 deg, rel. 6

Structure:
Unit cell a=4.2069 b=4.5147 c=4.5147 alpha=119.33 beta=90.00 gamma=90.00
Positions (direct):
Ni 0.0000 0.0000 0.0000
Ni 0.5000 0.6690 0.9917
Ni 0.5000 0.9917 0.6690
Ru 0.0000 0.3342 0.6741
Ru 0.0000 0.6741 0.3342
Ru 0.5000 0.3190 0.3190



# NiRu8
Computed powder diffraction line list, λ = 1.5418 Å (Cu Kα). Input: the GGA-PBE geometry in Alexandria.
No peak broadening, texture or thermal motion is included.

Largest 6 diffraction maxima, in order of falling intensity, 2θ = 10–80°:
41.17 deg, rel. 100; 47.91 deg, rel. 48; 70.08 deg, rel. 30; 15.55 deg, rel. 1; 25.96 deg, rel. 1; 34.32 deg, rel. 1

Structure:
Unit cell a=6.0063 b=6.0063 c=6.0063 alpha=95.73 beta=95.73 gamma=143.17
Positions (direct):
Ni 0.0000 0.0000 0.0000
Ru 0.0000 0.3342 0.3342
Ru 0.0000 0.6658 0.6658
Ru 0.3334 0.3334 0.6668
Ru 0.3334 0.6666 0.0000
Ru 0.3342 0.0000 0.3342
Ru 0.6658 0.0000 0.6658
Ru 0.6666 0.3334 0.0000
Ru 0.6666 0.6666 0.3332



# Ni4Ru
Computed powder diffraction line list, λ = 1.5418 Å (Cu Kα). Input: the GGA-PBE geometry in Alexandria.
No peak broadening, texture or thermal motion is included.

Largest 10 diffraction maxima, in order of falling intensity, 2θ = 10–80°:
43.81 deg, rel. 100; 50.87 deg, rel. 32; 75.20 deg, rel. 18; 51.37 deg, rel. 15; 74.80 deg, rel. 9; 29.64 deg, rel. 3; 22.15 deg, rel. 3; 31.52 deg, rel. 1; 54.96 deg, rel. 1; 64.75 deg, rel. 1

Structure:
Unit cell a=4.3904 b=4.3904 c=4.3904 alpha=99.45 beta=99.45 gamma=132.20
Positions (direct):
Ni 0.1023 0.6995 0.8018
Ni 0.3005 0.1023 0.4028
Ni 0.6995 0.8977 0.5972
Ni 0.8977 0.3005 0.1982
Ru 0.5000 0.5000 0.0000